Structure and computed PXRD pattern of CsNdV2O8 (a structure optimized by DFT (GGA+U); Cu Kα (λ = 1.5418 Å)).

Cell and atoms:
```
data_CsNdV2O8
_cell_length_a 6.0294
_cell_length_b 6.0294
_cell_length_c 8.6172
_cell_angle_alpha 90.00
_cell_angle_beta 90.00
_cell_angle_gamma 120.00
_symmetry_space_group_name_H-M 'P 1'
_symmetry_Int_Tables_number 1
_symmetry_space_group_name_Hall 'P 1'
loop_
_atom_site_label
_atom_site_type_symbol
_atom_site_fract_x
_atom_site_fract_y
_atom_site_fract_z
Cs1 Cs 0.0000 0.0000 0.0000
Nd1 Nd 0.0000 0.0000 0.5000
V1 V 0.3333 0.6667 0.7369
V2 V 0.6667 0.3333 0.2631
O1 O 0.1733 0.3509 0.6713
O2 O 0.1776 0.8267 0.6713
O3 O 0.3333 0.6667 0.9363
O4 O 0.3509 0.1776 0.3287
O5 O 0.6491 0.8224 0.6713
O6 O 0.6667 0.3333 0.0637
O7 O 0.8224 0.1733 0.3287
O8 O 0.8267 0.6491 0.3287
```

Most intense lines, 2θ from 10° to 80°, low angle first:
5.222 Å, 2θ 16.98, rel. 72.9, (1 0 0); 4.466 Å, 2θ 19.88, rel. 42.1, (0 1 1); 3.323 Å, 2θ 26.83, rel. 100.0, (0 1 2); 3.015 Å, 2θ 29.63, rel. 58.3, (1 1 0); 2.470 Å, 2θ 36.37, rel. 22.0, (2 -1 2); 2.233 Å, 2θ 40.40, rel. 42.2, (0 2 2); 1.991 Å, 2θ 45.55, rel. 14.2, (1 0 4); 1.794 Å, 2θ 50.89, rel. 31.9, (3 -2 2); 1.753 Å, 2θ 52.19, rel. 23.5, (1 1 4); 1.373 Å, 2θ 68.33, rel. 14.1, (3 1 2)